[1]
Simulated XRD peak list
Compound: Na2SrAu2
Radiation: CuKα
Structure: a structure optimized by DFT (GGA-PBE)
Kinematic intensities with the Lorentz-polarization factor, no thermal factor.

Crystal structure
abc: 14.605 14.605 14.605
angles: 163.29 161.62 24.94
Fractional coordinates of all 10 atoms:
Na 0.052 0.302 0.750
Na 0.441 0.191 0.250
Na 0.559 0.809 0.750
Na 0.948 0.698 0.250
Sr 0.318 0.568 0.750
Sr 0.682 0.432 0.250
Au 0.127 0.877 0.250
Au 0.224 0.974 0.250
Au 0.776 0.026 0.750
Au 0.873 0.123 0.750

Largest 6 diffraction maxima, by angle, 2θ from 10° to 90°:
2θ/deg  d [Å]  I (rel.)
21.17  4.196  1000
29.12  3.066  938
30.41  2.940  428
31.12  2.874  639
34.20  2.621  511
39.77  2.266  456

[2]
Simulated XRD peak list
Compound: Na3Sr2Au2
Radiation: CuKα
Structure: a structure optimized by DFT (GGA-PBE)
Kinematic intensities with the Lorentz-polarization factor, no thermal factor.

Crystal structure
abc: 4.442 4.335 14.638
angles: 90.00 98.60 90.00
Fractional coordinates of all 7 atoms:
Na 0.000 0.000 0.000
Na 0.204 0.000 0.405
Na 0.796 0.000 0.595
Sr 0.393 0.500 0.798
Sr 0.607 0.500 0.202
Au 0.108 0.000 0.204
Au 0.892 0.000 0.796

Largest 6 diffraction maxima, by angle, 2θ from 10° to 90°:
2θ/deg  d [Å]  I (rel.)
12.23  7.237  1000
18.39  4.824  356
28.95  3.085  734
30.89  2.895  258
32.75  2.734  531
40.39  2.233  353

[3]
Simulated XRD peak list
Compound: NaSr2Au
Radiation: CuKα
Structure: a structure optimized by DFT (GGA-PBE)
Kinematic intensities with the Lorentz-polarization factor, no thermal factor.

Crystal structure
abc: 11.576 11.576 11.576
angles: 21.86 21.86 21.86
Fractional coordinates of all 4 atoms:
Na 0.000 0.000 0.000
Sr 0.114 0.114 0.114
Sr 0.886 0.886 0.886
Au 0.500 0.500 0.500

Largest 6 diffraction maxima, by angle, 2θ from 10° to 90°:
2θ/deg  d [Å]  I (rel.)
23.99  3.710  724
26.89  3.316  1000
31.62  2.829  846
35.49  2.530  498
41.12  2.195  464
41.93  2.155  403

[4]
Simulated XRD peak list
Compound: Na3SrAu4
Radiation: CuKα
Structure: a structure optimized by DFT (GGA-PBE)
Kinematic intensities with the Lorentz-polarization factor, no thermal factor.

Crystal structure
abc: 10.024 7.132 5.240
angles: 90.00 90.00 90.00
Fractional coordinates of all 16 atoms:
Na 0.000 0.000 0.000
Na 0.250 0.000 0.401
Na 0.250 0.500 0.459
Na 0.500 0.000 0.000
Na 0.750 0.000 0.599
Na 0.750 0.500 0.541
Sr 0.000 0.500 0.000
Sr 0.500 0.500 0.000
Au 0.000 0.231 0.500
Au 0.000 0.769 0.500
Au 0.250 0.224 0.893
Au 0.250 0.776 0.893
Au 0.500 0.231 0.500
Au 0.500 0.769 0.500
Au 0.750 0.224 0.107
Au 0.750 0.776 0.107

Largest 6 diffraction maxima, by angle, 2θ from 10° to 90°:
2θ/deg  d [Å]  I (rel.)
19.11  4.643  145
24.58  3.622  473
24.97  3.566  270
35.33  2.540  1000
35.83  2.506  279
64.07  1.453  261